For CdSnPt, DFT lattice parameters and positions (GGA-PBE) gives the simulated powder X-ray diffraction pattern in this record (copper Kα).

Structural model:
```
6
Lattice="2.289 1.322 7.430 -2.289 1.322 7.430 0.000 -2.643 7.430" Properties=species:S:1:pos:R:3 pbc="T T T"
Cd 0.000 0.000 2.896
Cd 0.000 0.000 19.393
Sn 0.000 0.000 8.482
Sn 0.000 0.000 13.807
Pt 0.000 0.000 5.733
Pt 0.000 0.000 16.555
```

Peak list (12 most intense, 2θ = 10–90°, low angle first)
d_spacing, I/Imax
3.736, 71
3.715, 23
2.289, 100
2.280, 89
1.950, 37
1.615, 31
1.485, 12
1.322, 18
1.320, 32
1.314, 11
1.246, 12
1.145, 11


For Er4UBi5, DFT lattice parameters and positions (GGA-PBE) gives the simulated powder X-ray diffraction pattern in this record (copper Kα).

Structural model:
```
10
Lattice="-4.985 4.985 3.158 4.985 -4.985 3.158 4.985 4.985 -3.158" Properties=species:S:1:pos:R:3 pbc="T T T"
Er 6.977 1.007 0.000
Er 1.007 2.993 0.000
Er 3.978 1.992 3.158
Er -1.992 3.978 3.158
U 0.000 0.000 3.158
Bi 0.000 0.000 0.000
Bi 3.989 1.972 0.000
Bi 3.013 -0.996 3.158
Bi 1.972 5.981 0.000
Bi 0.996 3.013 3.158
```

Peak list (10 most intense, 2θ = 10–90°, low angle first)
d_spacing, I/Imax
3.643, 1
3.155, 100
2.231, 78
1.902, 1
1.821, 28
1.579, 5
1.576, 9
1.411, 38
1.288, 28
1.115, 9


For Li2YP2Pd2, DFT lattice parameters and positions (GGA-PBE) gives the simulated powder X-ray diffraction pattern in this record (copper Kα).

Structural model:
```
7
Lattice="2.062 1.191 7.587 -2.062 1.191 7.587 0.000 -2.381 7.587" Properties=species:S:1:pos:R:3 pbc="T T T"
Li 0.000 0.000 3.234
Li 0.000 0.000 19.528
Y 0.000 0.000 0.000
P 0.000 0.000 5.778
P 0.000 0.000 16.984
Pd 0.000 0.000 9.665
Pd 0.000 0.000 13.098
```

Peak list (12 most intense, 2θ = 10–90°, low angle first)
d_spacing, I/Imax
3.794, 33
3.529, 25
3.408, 57
2.810, 82
2.405, 100
2.062, 85
1.897, 16
1.812, 23
1.663, 17
1.565, 26
1.396, 34
1.247, 24


For Pm2Ho4Se9, DFT lattice parameters and positions (GGA-PBE) gives the simulated powder X-ray diffraction pattern in this record (copper Kα).

Structural model:
```
30
Lattice="7.255 0.000 0.000 -3.628 6.283 0.000 0.000 0.000 19.525" Properties=species:S:1:pos:R:3 pbc="T T T"
Pm 0.000 0.000 2.912
Pm 0.000 0.000 6.850
Pm 0.000 0.000 12.675
Pm 0.000 0.000 16.613
Ho 0.000 4.189 3.552
Ho 0.000 4.189 9.504
Ho 0.000 4.189 13.315
Ho 0.000 4.189 19.267
Ho 3.628 2.094 0.259
Ho 3.628 2.094 6.210
Ho 3.628 2.094 10.021
Ho 3.628 2.094 15.973
Se -1.125 1.948 4.881
Se -2.503 4.335 14.644
Se -1.161 2.341 11.396
Se -2.181 4.107 1.633
Se 2.249 0.000 4.881
Se 1.125 1.948 14.644
Se 1.161 2.341 1.633
Se -1.019 6.118 11.396
Se 2.608 0.165 17.892
Se 1.447 2.176 8.130
Se 2.181 4.107 11.396
Se 1.019 6.118 1.633
Se 4.647 0.165 8.130
Se 2.466 3.942 17.892
Se 5.006 0.000 14.644
Se 2.503 4.335 4.881
Se 5.808 2.176 17.892
Se 4.789 3.942 8.130
```

Peak list (12 most intense, 2θ = 10–90°, low angle first)
d_spacing, I/Imax
5.283, 42
3.855, 58
3.628, 40
3.169, 59
2.642, 38
2.422, 100
2.135, 35
2.094, 63
1.864, 31
1.584, 26
1.508, 14
1.264, 22


For NaB3H8, DFT lattice parameters and positions (GGA-PBE) gives the simulated powder X-ray diffraction pattern in this record (copper Kα).

Structural model:
```
24
Lattice="4.627 0.000 0.000 0.000 7.767 0.000 0.000 0.000 5.899" Properties=species:S:1:pos:R:3 pbc="T T T"
Na 1.157 1.942 0.298
Na 3.471 5.825 5.601
B 1.157 4.940 1.471
B 1.157 5.825 3.016
B 1.157 6.711 1.471
B 3.471 1.056 4.428
B 3.471 1.942 2.883
B 3.471 2.827 4.428
H 0.133 5.825 3.653
H 0.141 4.447 1.027
H 0.141 7.204 1.027
H 1.157 4.440 2.639
H 1.157 7.210 2.639
H 2.173 4.447 1.027
H 2.173 7.204 1.027
H 2.181 5.825 3.653
H 2.447 1.942 2.245
H 2.454 0.563 4.872
H 2.454 3.320 4.872
H 3.471 0.557 3.260
H 3.471 3.326 3.260
H 4.487 0.563 4.872
H 4.487 3.320 4.872
H 4.494 1.942 2.245
```

Peak list (12 most intense, 2θ = 10–90°, low angle first)
d_spacing, I/Imax
5.899, 9
3.883, 37
3.641, 43
3.297, 100
2.369, 28
2.349, 11
2.314, 15
2.259, 12
2.110, 20
1.988, 11
1.906, 10
1.622, 8


For AcHg4Pd, DFT lattice parameters and positions (GGA-PBE) gives the simulated powder X-ray diffraction pattern in this record (copper Kα).

Structural model:
```
12
Lattice="2.561 -8.780 0.000 2.561 8.780 0.000 0.000 0.000 6.967" Properties=species:S:1:pos:R:3 pbc="T T T"
Ac 2.561 5.965 3.483
Ac 2.561 -5.965 0.000
Hg 2.561 8.173 6.377
Hg 2.561 5.110 6.783
Hg 2.561 2.408 4.654
Hg 2.561 0.602 0.912
Hg 2.561 -0.602 4.395
Hg 2.561 -2.408 1.171
Hg 2.561 -5.110 3.299
Hg 2.561 -8.173 2.894
Pd 2.561 3.248 1.925
Pd 2.561 -3.248 5.408
```

Peak list (12 most intense, 2θ = 10–90°, low angle first)
d_spacing, I/Imax
2.927, 17
2.843, 100
2.698, 33
2.675, 95
2.585, 45
2.561, 64
2.227, 20
1.858, 25
1.527, 16
1.500, 17
1.489, 15
1.483, 23


For Ac9Ni3Pt, DFT lattice parameters and positions (GGA-PBE) gives the simulated powder X-ray diffraction pattern in this record (copper Kα).

Structural model:
```
26
Lattice="7.113 0.000 0.000 0.000 11.250 0.000 -1.301 0.000 11.882" Properties=species:S:1:pos:R:3 pbc="T T T"
Ac 0.505 2.813 2.285
Ac 0.557 6.490 4.531
Ac 0.557 10.385 4.531
Ac 0.456 2.813 10.264
Ac 1.807 6.431 0.484
Ac 1.807 10.444 0.484
Ac 1.829 2.813 6.278
Ac 1.671 6.506 8.486
Ac 1.671 10.369 8.486
Ac 4.141 0.881 3.396
Ac 4.141 4.744 3.396
Ac 3.983 8.438 5.604
Ac 4.005 0.806 11.398
Ac 4.005 4.819 11.398
Ac 5.356 8.438 1.617
Ac 5.255 0.865 7.351
Ac 5.255 4.760 7.351
Ac 5.307 8.438 9.597
Ni -0.717 0.046 9.869
Ni -0.717 5.579 9.869
Ni 2.906 0.000 5.941
Ni 2.906 5.625 5.941
Ni 6.529 5.671 2.012
Ni 6.529 11.204 2.012
Pt 3.326 2.813 1.013
Pt 2.486 8.438 10.868
```

Peak list (12 most intense, 2θ = 10–90°, low angle first)
d_spacing, I/Imax
3.736, 16
3.312, 100
3.292, 17
3.238, 29
3.195, 17
3.171, 30
3.156, 31
3.073, 27
2.850, 15
2.101, 17
1.874, 23
1.751, 24